Diffraction record for Bi6Au. The powder X-ray diffraction pattern is calculated, not measured: it uses the PBE geometry in Alexandria and copper Kα.
Intensities are scaled so that the largest is 100.

Top 6 peaks for 15 to 90 degrees two-theta, in order of rising 2θ:
- 20.28 deg, intensity 41, (2 0 0)
- 24.90 deg, intensity 100, (2 1 1)
- 35.50 deg, intensity 40, (2 2 2)
- 38.46 deg, intensity 66, (3 2 1)
- 41.23 deg, intensity 38, (4 0 0)
- 59.72 deg, intensity 26, (4 4 0)

Atomic structure:
Unit cell a=8.7588 b=8.7588 c=8.7588 alpha=90.00 beta=90.00 gamma=90.00
Space group Im-3m (No. 229)
Inequivalent atoms, fractional coordinates:
Bi: 0.0000 0.2500 0.5000 (multiplicity 12)
Au: 0.0000 0.0000 0.0000 (multiplicity 2)